Structure and simulated powder diffractogram of Te6Mo3WSe2 (a structure optimized by DFT (GGA-PBE); a wavelength of 1.5418 Å).

Cell and atoms:
Cell lengths 3.4993, 3.4993, 39.5599 Å; angles 90.00, 90.00, 120.00 degrees
Space group P3m1 (No. 156)
One atom of each set of equivalent atoms:
1 Te 0.0000 0.0000 0.0000 x1
2 Te 0.0000 0.0000 0.0926 x1
3 Te 0.0000 0.0000 0.3754 x1
4 Te 0.0000 0.0000 0.4686 x1
5 Te 0.3333 0.6667 0.8121 x1
6 Te 0.3333 0.6667 0.9047 x1
7 Mo 0.0000 0.0000 0.2342 x1
8 Mo 0.0000 0.0000 0.8584 x1
9 Mo 0.3333 0.6667 0.0463 x1
10 W 0.3333 0.6667 0.4220 x1
11 Se 0.3333 0.6667 0.1932 x1
12 Se 0.3333 0.6667 0.2751 x1

Principal peaks in the range 2θ from 15° to 90°, sorted by position:
| 2θ/deg | I (rel.) | hkl |
| --- | --- | --- |
| 29.49 | 50.7 | 1 0 0 |
| 29.83 | 14.8 | 1 0 2 |
| 34.72 | 100.0 | 0 1 8 |
| 37.38 | 19.8 | 0 1 10 |
| 42.08 | 64.5 | 1 0 13 |
| 43.80 | 19.0 | 1 0 14 |
| 52.29 | 38.5 | 1 1 0 |
| 64.30 | 17.2 | 2 0 8 |
| 73.93 | 18.8 | 1 1 21 |
| 87.40 | 14.9 | 1 2 8 |